# SrMgMoO3
Calculated XRD peak list, Cu Kα (λ = 1.5418 Å). Input: the PBE+U geometry in the Materials Project.
Intensities are scaled so that the largest is 100.

Peak list (10 most intense, 10° ≤ 2θ ≤ 90°, by angle)
h k l  two_theta  I (rel.)
0 0 1  20.2  36
2 0 0  26.5  24
2 0 -1  29.8  24
1 1 1  30.7  100
2 2 0  41.0  19
2 2 -1  43.2  65
3 1 0  43.3  32
2 0 2  54.5  21
1 3 -2  63.3  16
2 2 2  63.8  19

Crystal structure
a b c (Å): 6.8730 5.8319 4.5186
angles (deg): 90.00 102.48 90.00
Atoms (fractional coordinates):
Sr 0.0000 0.0000 0.0000
Sr 0.5000 0.5000 0.0000
Mg 0.1551 0.5000 0.3493
Mg 0.6551 0.0000 0.3493
Mo 0.3561 0.0000 0.6468
Mo 0.8561 0.5000 0.6468
O 0.1166 0.2545 0.6364
O 0.1166 0.7455 0.6364
O 0.3698 0.0000 0.1400
O 0.6166 0.2455 0.6364
O 0.6166 0.7545 0.6364
O 0.8698 0.5000 0.1400

=====

# Sr2MgMoO4
Calculated XRD peak list, Cu Kα (λ = 1.5418 Å). Input: the PBE+U geometry in the Materials Project.
Intensities are scaled so that the largest is 100.

Peak list (10 most intense, 10° ≤ 2θ ≤ 90°, by angle)
h k l  two_theta  I (rel.)
0 0 2  10.9  100
1 0 3  27.2  32
1 1 0  30.7  45
1 1 2  32.7  23
1 0 5  35.2  71
1 1 4  38.0  15
2 0 0  44.0  35
1 0 7  44.8  16
2 1 3  52.5  11
2 1 5  57.5  34

Crystal structure
a b c (Å): 4.1192 4.1192 16.2463
angles (deg): 90.00 90.00 90.00
Atoms (fractional coordinates):
Sr 0.0000 0.0000 0.1008
Sr 0.0000 0.0000 0.8992
Sr 0.5000 0.5000 0.3992
Sr 0.5000 0.5000 0.6008
Mg 0.0000 0.5000 0.2500
Mg 0.5000 0.0000 0.7500
Mo 0.0000 0.0000 0.5000
Mo 0.5000 0.5000 0.0000
O 0.0000 0.0000 0.3603
O 0.0000 0.0000 0.6397
O 0.0000 0.5000 0.0012
O 0.0000 0.5000 0.4988
O 0.5000 0.0000 0.5012
O 0.5000 0.0000 0.9988
O 0.5000 0.5000 0.1397
O 0.5000 0.5000 0.8603

=====

What did the first record say?
# SrMgMoO3
Calculated XRD peak list, Cu Kα (λ = 1.5418 Å). Input: the PBE+U geometry in the Materials Project.
Intensities are scaled so that the largest is 100.

Peak list (10 most intense, 10° ≤ 2θ ≤ 90°, by angle)
h k l  two_theta  I (rel.)
0 0 1  20.2  36
2 0 0  26.5  24
2 0 -1  29.8  24
1 1 1  30.7  100
2 2 0  41.0  19
2 2 -1  43.2  65
3 1 0  43.3  32
2 0 2  54.5  21
1 3 -2  63.3  16
2 2 2  63.8  19

Crystal structure
a b c (Å): 6.8730 5.8319 4.5186
angles (deg): 90.00 102.48 90.00
Atoms (fractional coordinates):
Sr 0.0000 0.0000 0.0000
Sr 0.5000 0.5000 0.0000
Mg 0.1551 0.5000 0.3493
Mg 0.6551 0.0000 0.3493
Mo 0.3561 0.0000 0.6468
Mo 0.8561 0.5000 0.6468
O 0.1166 0.2545 0.6364
O 0.1166 0.7455 0.6364
O 0.3698 0.0000 0.1400
O 0.6166 0.2455 0.6364
O 0.6166 0.7545 0.6364
O 0.8698 0.5000 0.1400